Theoretical powder X-ray diffraction pattern
Compound: Sm4HoTh2
Radiation: copper Kα
Structure: DFT lattice parameters and positions (GGA-PBE)
Peak positions follow from Bragg's law for the DFT cell and can differ from measured ones.

Crystal structure
```
data_Sm4HoTh2
_cell_length_a 5.8365
_cell_length_b 5.7293
_cell_length_c 7.3267
_cell_angle_alpha 90.00
_cell_angle_beta 100.47
_cell_angle_gamma 90.00
_space_group_name_H-M_alt 'P 1 2 1'
_space_group_IT_number 3
_space_group_name_Hall 'P 2y'
loop_
_atom_site_label
_atom_site_type_symbol
_atom_site_fract_x
_atom_site_fract_y
_atom_site_fract_z
Sm1 Sm 0.0009 0.0000 0.2707
Sm2 Sm 0.3307 0.4994 0.6668
Ho1 Ho 0.5000 0.9993 0.0000
Th1 Th 0.0000 0.5002 0.0000
Th2 Th 0.5000 0.9993 0.5000
```

The 6 most intense peaks (10° ≤ 2θ ≤ 90°), sorted by position:
h k l  2theta  intensity
1 0 1  21.48  25
1 1 1  26.57  26
1 1 -2  31.02  100
0 2 0  31.21  69
1 1 2  35.39  27
1 3 -2  55.44  20

---

Theoretical powder X-ray diffraction pattern
Compound: USi2NiRh
Radiation: copper Kα
Structure: DFT lattice parameters and positions (GGA-PBE)
Peak positions follow from Bragg's law for the DFT cell and can differ from measured ones.

Crystal structure
```
data_USi2NiRh
_cell_length_a 3.9216
_cell_length_b 3.9216
_cell_length_c 10.1515
_cell_angle_alpha 90.00
_cell_angle_beta 90.00
_cell_angle_gamma 90.00
_space_group_name_H-M_alt 'I -4 m 2'
_space_group_IT_number 119
_space_group_name_Hall 'I -4 -2'
loop_
_atom_site_label
_atom_site_type_symbol
_atom_site_fract_x
_atom_site_fract_y
_atom_site_fract_z
U1 U 0.0000 0.0000 0.0000
Si1 Si 0.0000 0.0000 0.3838
Ni1 Ni 0.0000 0.5000 0.7500
Rh1 Rh 0.0000 0.5000 0.2500
```

The 6 most intense peaks (10° ≤ 2θ ≤ 90°), sorted by position:
h k l  2theta  intensity
1 0 1  24.33  61
1 0 3  35.02  49
1 1 2  36.94  100
2 0 0  46.30  33
2 1 3  59.35  22
3 1 2  79.57  22